# 1
# Hf4Zn2CN
Theoretical powder diffraction line list, Cu Kα (weighted mean of Kα1 and Kα2). Input: a DFT-relaxed cell (GGA-PBE, OQMD).
Kinematic intensities with the Lorentz-polarization factor, no thermal factor.

Top 10 peaks for 15 to 90 degrees two-theta, in order of falling intensity:
37.27 deg, d 2.412, I = 100; 31.81 deg, d 2.813, I = 23; 56.68 deg, d 1.624, I = 21; 70.54 deg, d 1.335, I = 19; 38.39 deg, d 2.345, I = 19; 69.81 deg, d 1.347, I = 16; 68.70 deg, d 1.366, I = 16; 50.69 deg, d 1.801, I = 15; 32.46 deg, d 2.758, I = 10; 25.32 deg, d 3.517, I = 6

Structural model:
Cell: 3.248 3.248 14.068 Å, 90.00 90.00 120.00°
Fractional coordinates of all 8 atoms:
1 Hf 0.333 0.667 0.089
2 Hf 0.333 0.667 0.412
3 Hf 0.667 0.333 0.588
4 Hf 0.667 0.333 0.911
5 Zn 0.333 0.667 0.748
6 Zn 0.667 0.333 0.252
7 C 0.000 0.000 0.000
8 N 0.000 0.000 0.500


# 2
# Hf4Nb2C3S3
Theoretical powder diffraction line list, Cu Kα (weighted mean of Kα1 and Kα2). Input: a DFT-relaxed cell (GGA-PBE, OQMD).
Kinematic intensities with the Lorentz-polarization factor, no thermal factor.

Top 10 peaks for 15 to 90 degrees two-theta, in order of falling intensity:
38.37 deg, d 2.346, I = 100; 31.68 deg, d 2.824, I = 33; 30.75 deg, d 2.908, I = 31; 54.66 deg, d 1.679, I = 19; 68.77 deg, d 1.365, I = 18; 30.01 deg, d 2.978, I = 16; 63.32 deg, d 1.469, I = 14; 63.63 deg, d 1.462, I = 12; 43.50 deg, d 2.080, I = 12; 45.70 deg, d 1.985, I = 10

Structural model:
Cell: 5.813 5.813 12.373 Å, 103.53 103.53 60.07°
Fractional coordinates of all 24 atoms:
1 Hf 0.033 0.201 0.101
2 Hf 0.134 0.300 0.399
3 Hf 0.201 0.033 0.601
4 Hf 0.300 0.134 0.899
5 Hf 0.700 0.866 0.101
6 Hf 0.799 0.967 0.399
7 Hf 0.866 0.700 0.601
8 Hf 0.967 0.799 0.899
9 Nb 0.364 0.531 0.093
10 Nb 0.469 0.636 0.407
11 Nb 0.531 0.364 0.593
12 Nb 0.636 0.469 0.907
13 C 0.000 0.500 0.000
14 C 0.161 0.669 0.500
15 C 0.331 0.839 0.000
16 C 0.500 0.000 0.500
17 C 0.669 0.161 0.000
18 C 0.839 0.331 0.500
19 S 0.090 0.910 0.250
20 S 0.256 0.417 0.750
21 S 0.417 0.256 0.250
22 S 0.583 0.744 0.750
23 S 0.744 0.583 0.250
24 S 0.910 0.090 0.750


# 3
# Hf2Nb4Si3C3
Theoretical powder diffraction line list, Cu Kα (weighted mean of Kα1 and Kα2). Input: a DFT-relaxed cell (GGA-PBE, OQMD).
Kinematic intensities with the Lorentz-polarization factor, no thermal factor.

Top 10 peaks for 15 to 90 degrees two-theta, in order of falling intensity:
38.49 deg, d 2.339, I = 100; 32.99 deg, d 2.715, I = 28; 32.24 deg, d 2.777, I = 24; 57.49 deg, d 1.603, I = 23; 27.40 deg, d 3.255, I = 16; 71.33 deg, d 1.322, I = 16; 59.85 deg, d 1.545, I = 14; 41.62 deg, d 2.170, I = 13; 73.43 deg, d 1.290, I = 12; 53.60 deg, d 1.710, I = 12

Structural model:
Cell: 5.552 5.552 13.412 Å, 101.99 101.99 60.04°
Fractional coordinates of all 24 atoms:
1 Hf 0.034 0.868 0.601
2 Hf 0.132 0.966 0.899
3 Hf 0.868 0.034 0.101
4 Hf 0.966 0.132 0.399
5 Nb 0.197 0.364 0.093
6 Nb 0.301 0.470 0.407
7 Nb 0.364 0.197 0.593
8 Nb 0.470 0.301 0.907
9 Nb 0.530 0.699 0.093
10 Nb 0.636 0.803 0.407
11 Nb 0.699 0.530 0.593
12 Nb 0.803 0.636 0.907
13 Si 0.085 0.278 0.750
14 Si 0.278 0.085 0.250
15 Si 0.447 0.553 0.750
16 Si 0.553 0.447 0.250
17 Si 0.722 0.915 0.750
18 Si 0.915 0.722 0.250
19 C 0.000 0.500 0.500
20 C 0.165 0.670 0.000
21 C 0.330 0.835 0.500
22 C 0.500 0.000 0.000
23 C 0.670 0.165 0.500
24 C 0.835 0.330 0.000


# 4
# HfNbSnC
Theoretical powder diffraction line list, Cu Kα (weighted mean of Kα1 and Kα2). Input: a DFT-relaxed cell (GGA-PBE, OQMD).
Kinematic intensities with the Lorentz-polarization factor, no thermal factor.

Top 10 peaks for 15 to 90 degrees two-theta, in order of falling intensity:
36.83 deg, d 2.440, I = 100; 31.55 deg, d 2.835, I = 22; 56.19 deg, d 1.637, I = 21; 69.55 deg, d 1.352, I = 20; 37.55 deg, d 2.396, I = 20; 67.29 deg, d 1.391, I = 17; 69.10 deg, d 1.359, I = 16; 49.83 deg, d 1.830, I = 15; 32.18 deg, d 2.782, I = 5; 78.38 deg, d 1.220, I = 4

Structural model:
Cell: 3.274 3.274 14.373 Å, 90.00 90.00 120.00°
Fractional coordinates of all 8 atoms:
1 Hf 0.333 0.667 0.000
2 Hf 0.667 0.333 0.500
3 Nb 0.333 0.667 0.330
4 Nb 0.667 0.333 0.830
5 Sn 0.333 0.667 0.669
6 Sn 0.667 0.333 0.169
7 C 0.000 0.000 0.414
8 C 0.000 0.000 0.914


# 5
# HfNbSnC
Theoretical powder diffraction line list, Cu Kα (weighted mean of Kα1 and Kα2). Input: a DFT-relaxed cell (GGA-PBE, OQMD).
Kinematic intensities with the Lorentz-polarization factor, no thermal factor.

Top 10 peaks for 15 to 90 degrees two-theta, in order of falling intensity:
36.83 deg, d 2.440, I = 100; 31.57 deg, d 2.834, I = 25; 56.22 deg, d 1.636, I = 20; 69.54 deg, d 1.352, I = 20; 37.49 deg, d 2.399, I = 20; 67.22 deg, d 1.393, I = 17; 49.80 deg, d 1.831, I = 17; 69.12 deg, d 1.359, I = 16; 18.49 deg, d 4.798, I = 5; 78.37 deg, d 1.220, I = 5

Structural model:
Cell: 3.273 3.273 14.393 Å, 90.00 90.00 120.00°
Fractional coordinates of all 8 atoms:
1 Hf 0.000 0.000 0.169
2 Hf 0.000 0.000 0.831
3 Nb 0.333 0.667 0.339
4 Nb 0.333 0.667 0.661
5 Sn 0.000 0.000 0.500
6 Sn 0.333 0.667 0.000
7 C 0.667 0.333 0.254
8 C 0.667 0.333 0.746


# 6
# HfNbSnC
Theoretical powder diffraction line list, Cu Kα (weighted mean of Kα1 and Kα2). Input: a DFT-relaxed cell (GGA-PBE, OQMD).
Kinematic intensities with the Lorentz-polarization factor, no thermal factor.

Top 10 peaks for 15 to 90 degrees two-theta, in order of falling intensity:
36.68 deg, d 2.450, I = 100; 31.21 deg, d 2.866, I = 23; 55.55 deg, d 1.654, I = 22; 69.36 deg, d 1.355, I = 20; 38.11 deg, d 2.361, I = 18; 68.43 deg, d 1.371, I = 16; 67.94 deg, d 1.380, I = 15; 50.05 deg, d 1.822, I = 15; 33.74 deg, d 2.656, I = 6; 78.01 deg, d 1.225, I = 4

Structural model:
Cell: 3.309 3.309 14.167 Å, 90.00 90.00 120.00°
Fractional coordinates of all 8 atoms:
1 Hf 0.333 0.667 0.087
2 Hf 0.667 0.333 0.913
3 Nb 0.333 0.667 0.420
4 Nb 0.667 0.333 0.580
5 Sn 0.333 0.667 0.742
6 Sn 0.667 0.333 0.258
7 C 0.000 0.000 0.000
8 C 0.000 0.000 0.500


# 7
# Hf4NiC3
Theoretical powder diffraction line list, Cu Kα (weighted mean of Kα1 and Kα2). Input: a DFT-relaxed cell (GGA-PBE, OQMD).
Kinematic intensities with the Lorentz-polarization factor, no thermal factor.

Top 10 peaks for 15 to 90 degrees two-theta, in order of falling intensity:
39.17 deg, d 2.300, I = 100; 36.95 deg, d 2.433, I = 67; 32.36 deg, d 2.767, I = 54; 55.92 deg, d 1.644, I = 48; 30.57 deg, d 2.924, I = 26; 57.27 deg, d 1.609, I = 25; 35.05 deg, d 2.560, I = 24; 33.50 deg, d 2.675, I = 24; 69.93 deg, d 1.345, I = 21; 38.48 deg, d 2.339, I = 20

Structural model:
Cell: 3.288 3.288 23.393 Å, 90.00 90.00 120.00°
Fractional coordinates of all 16 atoms:
1 Hf 0.000 0.000 0.169
2 Hf 0.000 0.000 0.331
3 Hf 0.000 0.000 0.669
4 Hf 0.000 0.000 0.831
5 Hf 0.333 0.667 0.056
6 Hf 0.333 0.667 0.444
7 Hf 0.667 0.333 0.556
8 Hf 0.667 0.333 0.944
9 Ni 0.333 0.667 0.250
10 Ni 0.667 0.333 0.750
11 C 0.000 0.000 0.000
12 C 0.000 0.000 0.500
13 C 0.333 0.667 0.616
14 C 0.333 0.667 0.884
15 C 0.667 0.333 0.116
16 C 0.667 0.333 0.384


# 8
# Hf4Zr2Ni3C3
Theoretical powder diffraction line list, Cu Kα (weighted mean of Kα1 and Kα2). Input: a DFT-relaxed cell (GGA-PBE, OQMD).
Kinematic intensities with the Lorentz-polarization factor, no thermal factor.

Top 10 peaks for 15 to 90 degrees two-theta, in order of falling intensity:
37.96 deg, d 2.370, I = 100; 38.06 deg, d 2.365, I = 49; 32.70 deg, d 2.739, I = 47; 31.98 deg, d 2.799, I = 29; 40.58 deg, d 2.223, I = 29; 57.00 deg, d 1.616, I = 26; 26.73 deg, d 3.335, I = 18; 42.11 deg, d 2.146, I = 16; 67.28 deg, d 1.392, I = 15; 18.44 deg, d 4.810, I = 15

Structural model:
Cell: 5.598 5.598 13.738 Å, 101.97 101.97 59.98°
Fractional coordinates of all 24 atoms:
1 Hf 0.028 0.201 0.093
2 Hf 0.138 0.302 0.406
3 Hf 0.201 0.028 0.593
4 Hf 0.302 0.138 0.906
5 Hf 0.698 0.862 0.094
6 Hf 0.799 0.972 0.407
7 Hf 0.862 0.698 0.594
8 Hf 0.972 0.799 0.907
9 Zr 0.373 0.537 0.109
10 Zr 0.463 0.627 0.391
11 Zr 0.537 0.373 0.609
12 Zr 0.627 0.463 0.891
13 Ni 0.073 0.927 0.750
14 Ni 0.101 0.415 0.750
15 Ni 0.415 0.101 0.250
16 Ni 0.585 0.899 0.750
17 Ni 0.899 0.585 0.250
18 Ni 0.927 0.073 0.250
19 C 0.000 0.500 0.000
20 C 0.170 0.665 0.500
21 C 0.335 0.830 0.000
22 C 0.500 0.000 0.500
23 C 0.665 0.170 0.000
24 C 0.830 0.335 0.500


# 9
# HfP2C
Theoretical powder diffraction line list, Cu Kα (weighted mean of Kα1 and Kα2). Input: a DFT-relaxed cell (GGA-PBE, OQMD).
Kinematic intensities with the Lorentz-polarization factor, no thermal factor.

Top 10 peaks for 15 to 90 degrees two-theta, in order of falling intensity:
40.15 deg, d 2.246, I = 100; 35.32 deg, d 2.541, I = 52; 48.62 deg, d 1.873, I = 28; 26.26 deg, d 3.393, I = 25; 37.19 deg, d 2.417, I = 22; 34.68 deg, d 2.587, I = 21; 39.85 deg, d 2.262, I = 20; 62.15 deg, d 1.494, I = 20; 76.41 deg, d 1.246, I = 19; 72.55 deg, d 1.303, I = 16

Structural model:
Cell: 2.987 2.987 13.574 Å, 90.00 90.00 120.00°
Fractional coordinates of all 8 atoms:
1 Hf 0.333 0.667 0.250
2 Hf 0.667 0.333 0.750
3 P 0.333 0.667 0.592
4 P 0.333 0.667 0.908
5 P 0.667 0.333 0.092
6 P 0.667 0.333 0.408
7 C 0.000 0.000 0.000
8 C 0.000 0.000 0.500


# 10
# Hf4SiPbC2
Theoretical powder diffraction line list, Cu Kα (weighted mean of Kα1 and Kα2). Input: a DFT-relaxed cell (GGA-PBE, OQMD).
Kinematic intensities with the Lorentz-polarization factor, no thermal factor.

Top 10 peaks for 15 to 90 degrees two-theta, in order of falling intensity:
36.64 deg, d 2.453, I = 100; 31.08 deg, d 2.878, I = 28; 55.30 deg, d 1.661, I = 23; 68.18 deg, d 1.375, I = 17; 69.32 deg, d 1.356, I = 16; 38.39 deg, d 2.345, I = 15; 33.65 deg, d 2.663, I = 14; 31.78 deg, d 2.816, I = 13; 50.19 deg, d 1.818, I = 12; 61.82 deg, d 1.501, I = 12

Structural model:
Cell: 3.323 3.323 14.070 Å, 90.00 90.00 120.00°
Fractional coordinates of all 8 atoms:
1 Hf 0.000 0.000 0.146
2 Hf 0.000 0.000 0.854
3 Hf 0.667 0.333 0.323
4 Hf 0.667 0.333 0.677
5 Si 0.667 0.333 0.000
6 Pb 0.000 0.000 0.500
7 C 0.333 0.667 0.237
8 C 0.333 0.667 0.763


# 11
# TmHfPbC
Theoretical powder diffraction line list, Cu Kα (weighted mean of Kα1 and Kα2). Input: a DFT-relaxed cell (GGA-PBE, OQMD).
Kinematic intensities with the Lorentz-polarization factor, no thermal factor.

Top 10 peaks for 15 to 90 degrees two-theta, in order of falling intensity:
34.67 deg, d 2.587, I = 100; 29.75 deg, d 3.003, I = 23; 52.80 deg, d 1.734, I = 22; 65.07 deg, d 1.433, I = 20; 35.22 deg, d 2.548, I = 19; 64.73 deg, d 1.440, I = 17; 62.86 deg, d 1.478, I = 15; 88.19 deg, d 1.108, I = 15; 46.76 deg, d 1.943, I = 15; 86.52 deg, d 1.125, I = 7

Structural model:
Cell: 3.467 3.467 15.287 Å, 90.00 90.00 120.00°
Fractional coordinates of all 8 atoms:
1 Tm 0.333 0.667 0.414
2 Tm 0.667 0.333 0.586
3 Hf 0.333 0.667 0.077
4 Hf 0.667 0.333 0.923
5 Pb 0.333 0.667 0.761
6 Pb 0.667 0.333 0.239
7 C 0.000 0.000 0.000
8 C 0.000 0.000 0.500


# 12
# TmHf3Pb2C2
Theoretical powder diffraction line list, Cu Kα (weighted mean of Kα1 and Kα2). Input: a DFT-relaxed cell (GGA-PBE, OQMD).
Kinematic intensities with the Lorentz-polarization factor, no thermal factor.

Top 10 peaks for 15 to 90 degrees two-theta, in order of falling intensity:
35.28 deg, d 2.544, I = 100; 30.25 deg, d 2.955, I = 23; 53.73 deg, d 1.706, I = 21; 66.32 deg, d 1.409, I = 21; 35.90 deg, d 2.501, I = 20; 64.12 deg, d 1.452, I = 17; 65.92 deg, d 1.417, I = 17; 47.63 deg, d 1.909, I = 15; 88.39 deg, d 1.106, I = 7; 74.60 deg, d 1.272, I = 4

Structural model:
Cell: 3.412 3.412 15.008 Å, 90.00 90.00 120.00°
Fractional coordinates of all 8 atoms:
1 Tm 0.000 0.000 0.000
2 Hf 0.000 0.000 0.657
3 Hf 0.667 0.333 0.168
4 Hf 0.667 0.333 0.499
5 Pb 0.000 0.000 0.334
6 Pb 0.667 0.333 0.823
7 C 0.333 0.667 0.093
8 C 0.333 0.667 0.578